Starting from a DFT-relaxed cell (GGA-PBE, Alexandria), the XRD peak list of CaAs2Pt3 was simulated for Cu Kα X-rays.

Crystal structure
a b c (Å): 4.3589 8.2918 10.0244
angles (deg): 104.29 93.84 101.90
Space group P-1 (No. 2)
Inequivalent atoms, fractional coordinates:
Ca 0.0000 0.0000 0.0000
Ca 0.1814 0.3338 0.7100
As 0.2308 0.3854 0.1258
As 0.2801 0.7041 0.5381
As 0.4432 0.9343 0.2224
Pt 0.0037 0.0424 0.3290
Pt 0.2556 0.6512 0.0575
Pt 0.2728 0.4064 0.3836
Pt 0.3086 0.7458 0.8036
Pt 0.5000 0.0000 0.5000

Principal peaks in the range 2θ = 10–90°, sorted by position:
d 5.407, I = 97, hkl 0 1 1; d 4.702, I = 32, hkl 0 1 -2; d 4.016, I = 32, hkl 0 2 -1; d 2.727, I = 88, hkl 1 0 -3; d 2.606, I = 55, hkl 0 3 0; d 2.565, I = 100, hkl 1 -1 3; d 2.173, I = 59, hkl 2 -1 0; d 2.072, I = 50, hkl 0 3 2; d 2.065, I = 34, hkl -1 1 4; d 1.999, I = 31, hkl 1 -4 1